This entry pairs a crystal structure of Ga3Pt with its simulated powder diffraction line list. Radiation: Cu Kα, 1.54184 Å. Structure: a crystal structure in the Materials Project, relaxed with GGA-PBE.

Structure:
```
data_Ga3Pt
_symmetry_space_group_name_H-M 'P m -3 m'
_symmetry_Int_Tables_number 221
_symmetry_space_group_name_Hall '-P 4 2 3'
_cell_length_a 4.0669
_cell_length_b 4.0669
_cell_length_c 4.0669
_cell_angle_alpha 90.00
_cell_angle_beta 90.00
_cell_angle_gamma 90.00
loop_
_atom_site_label
_atom_site_type_symbol
_atom_site_fract_x
_atom_site_fract_y
_atom_site_fract_z
Ga1 Ga 0.0000 0.0000 0.5000
Pt1 Pt 0.5000 0.5000 0.5000
```

Most intense lines, 5 to 70 degrees two-theta, by intensity:
2theta	I_rel	hkl
38.33	100.0	1 1 1
44.56	48.9	2 0 0
64.84	31.5	2 2 0
21.85	25.2	1 0 0
31.10	21.3	1 1 0
50.16	11.8	2 1 0
55.33	8.9	2 1 1
69.32	5.8	3 0 0

=====

This entry pairs a crystal structure of Ga2Pt with its simulated powder diffraction line list. Radiation: Cu Kα, 1.54184 Å. Structure: a crystal structure in the Materials Project, relaxed with GGA-PBE.

Structure:
```
data_Ga2Pt
_symmetry_space_group_name_H-M 'F m -3 m'
_symmetry_Int_Tables_number 225
_symmetry_space_group_name_Hall '-F 4 2 3'
_cell_length_a 6.0018
_cell_length_b 6.0018
_cell_length_c 6.0018
_cell_angle_alpha 90.00
_cell_angle_beta 90.00
_cell_angle_gamma 90.00
loop_
_atom_site_label
_atom_site_type_symbol
_atom_site_fract_x
_atom_site_fract_y
_atom_site_fract_z
Ga1 Ga 0.2500 0.2500 0.2500
Pt1 Pt 0.0000 0.0000 0.0000
```

Most intense lines, 5 to 70 degrees two-theta, by intensity:
2theta	I_rel	hkl
42.61	100.0	2 2 0
25.71	80.9	1 1 1
50.43	39.8	3 1 1
61.83	16.5	4 0 0
68.10	16.3	3 3 1
29.77	2.2	2 0 0
52.84	0.7	2 2 2

=====

This entry pairs a crystal structure of Ga5Pt with its simulated powder diffraction line list. Radiation: Cu Kα, 1.54184 Å. Structure: a crystal structure in the Materials Project, relaxed with GGA-PBE.

Structure:
```
data_Ga5Pt
_symmetry_space_group_name_H-M 'P 1 21/m 1'
_symmetry_Int_Tables_number 11
_symmetry_space_group_name_Hall '-P 2yb'
_cell_length_a 6.4909
_cell_length_b 15.8368
_cell_length_c 9.0520
_cell_angle_alpha 90.00
_cell_angle_beta 110.05
_cell_angle_gamma 90.00
loop_
_atom_site_label
_atom_site_type_symbol
_atom_site_fract_x
_atom_site_fract_y
_atom_site_fract_z
Ga1 Ga 0.0014 0.9996 0.3577
Ga2 Ga 0.0754 0.1668 0.7754
Ga3 Ga 0.0775 0.1661 0.2643
Ga4 Ga 0.1010 0.5694 0.0263
Ga5 Ga 0.2175 0.6699 0.5525
Ga6 Ga 0.2989 0.1628 0.5722
Ga7 Ga 0.3108 0.1645 0.0788
Ga8 Ga 0.3206 0.7500 0.9399
Ga9 Ga 0.3245 0.7500 0.2220
Ga10 Ga 0.4432 0.0605 0.8633
Ga11 Ga 0.4500 0.0567 0.3615
Pt1 Pt 0.3077 0.5950 0.8286
Pt2 Pt 0.3123 0.5957 0.3254
```

Most intense lines, 5 to 70 degrees two-theta, by intensity:
2theta	I_rel	hkl
45.70	100.0	2 6 -2
45.47	70.2	2 3 2
45.55	66.2	1 6 2
39.83	64.4	1 0 -4
46.20	61.0	1 4 -4
22.27	57.2	1 3 0
31.78	54.5	2 2 -2
21.68	44.4	1 1 -2
15.57	42.7	1 1 0
42.37	41.7	2 1 2

=====

This entry pairs a crystal structure of Ga3Pt with its simulated powder diffraction line list. Radiation: Cu Kα, 1.54184 Å. Structure: a crystal structure in the Materials Project, relaxed with GGA-PBE.

Structure:
```
data_Ga3Pt
_symmetry_space_group_name_H-M 'P 63/m m c'
_symmetry_Int_Tables_number 194
_symmetry_space_group_name_Hall '-P 6c 2c'
_cell_length_a 5.9117
_cell_length_b 5.9117
_cell_length_c 4.5218
_cell_angle_alpha 90.00
_cell_angle_beta 90.00
_cell_angle_gamma 120.00
loop_
_atom_site_label
_atom_site_type_symbol
_atom_site_fract_x
_atom_site_fract_y
_atom_site_fract_z
Ga1 Ga 0.1705 0.3411 0.2500
Pt1 Pt 0.3333 0.6667 0.7500
```

Most intense lines, 5 to 70 degrees two-theta, by intensity:
2theta	I_rel	hkl
40.49	100.0	2 0 1
35.05	24.8	2 0 0
26.30	23.4	1 0 1
39.87	23.3	0 0 2
62.88	17.9	2 2 0
54.12	14.2	2 0 2
17.32	13.7	1 0 0
30.24	11.9	1 1 0
51.36	9.8	2 1 1
50.85	5.9	1 1 2

=====

This entry pairs a crystal structure of Ga3Pt with its simulated powder diffraction line list. Radiation: Cu Kα, 1.54184 Å. Structure: a crystal structure in the Materials Project, relaxed with GGA-PBE.

Structure:
```
data_Ga3Pt
_symmetry_space_group_name_H-M 'F m -3 m'
_symmetry_Int_Tables_number 225
_symmetry_space_group_name_Hall '-F 4 2 3'
_cell_length_a 6.4752
_cell_length_b 6.4752
_cell_length_c 6.4752
_cell_angle_alpha 90.00
_cell_angle_beta 90.00
_cell_angle_gamma 90.00
loop_
_atom_site_label
_atom_site_type_symbol
_atom_site_fract_x
_atom_site_fract_y
_atom_site_fract_z
Ga1 Ga 0.0000 0.0000 0.0000
Ga2 Ga 0.2500 0.2500 0.2500
Pt1 Pt 0.0000 0.0000 0.5000
```

Most intense lines, 5 to 70 degrees two-theta, by intensity:
2theta	I_rel	hkl
39.36	100.0	2 2 0
23.80	19.7	1 1 1
56.88	16.9	4 0 0
46.52	10.5	3 1 1
27.55	10.3	2 0 0
62.52	4.5	3 3 1
64.34	4.1	4 2 0
48.71	3.1	2 2 2

=====

This entry pairs a crystal structure of Ga2RuPt with its simulated powder diffraction line list. Radiation: Cu Kα, 1.54184 Å. Structure: a crystal structure in the Materials Project, relaxed with GGA-PBE.

Structure:
```
data_Ga2RuPt
_symmetry_space_group_name_H-M 'F m -3 m'
_symmetry_Int_Tables_number 225
_symmetry_space_group_name_Hall '-F 4 2 3'
_cell_length_a 6.1460
_cell_length_b 6.1460
_cell_length_c 6.1460
_cell_angle_alpha 90.00
_cell_angle_beta 90.00
_cell_angle_gamma 90.00
loop_
_atom_site_label
_atom_site_type_symbol
_atom_site_fract_x
_atom_site_fract_y
_atom_site_fract_z
Ga1 Ga 0.2500 0.2500 0.2500
Ru1 Ru 0.0000 0.0000 0.0000
Pt1 Pt 0.0000 0.0000 0.5000
```

Most intense lines, 5 to 70 degrees two-theta, by intensity:
2theta	I_rel	hkl
41.56	100.0	2 2 0
60.23	16.6	4 0 0
29.06	14.6	2 0 0
25.10	9.6	1 1 1
68.24	5.5	4 2 0
49.17	5.2	3 1 1
51.51	4.1	2 2 2
66.29	2.2	3 3 1

=====

This entry pairs a crystal structure of ScGaPt2 with its simulated powder diffraction line list. Radiation: Cu Kα, 1.54184 Å. Structure: a crystal structure in the Materials Project, relaxed with GGA-PBE.

Structure:
```
data_ScGaPt2
_symmetry_space_group_name_H-M 'F m -3 m'
_symmetry_Int_Tables_number 225
_symmetry_space_group_name_Hall '-F 4 2 3'
_cell_length_a 6.4211
_cell_length_b 6.4211
_cell_length_c 6.4211
_cell_angle_alpha 90.00
_cell_angle_beta 90.00
_cell_angle_gamma 90.00
loop_
_atom_site_label
_atom_site_type_symbol
_atom_site_fract_x
_atom_site_fract_y
_atom_site_fract_z
Sc1 Sc 0.0000 0.0000 0.0000
Ga1 Ga 0.0000 0.0000 0.5000
Pt1 Pt 0.2500 0.2500 0.2500
```

Most intense lines, 5 to 70 degrees two-theta, by intensity:
2theta	I_rel	hkl
39.70	100.0	2 2 0
27.79	35.2	2 0 0
57.40	17.0	4 0 0
64.95	14.2	4 2 0
49.15	10.5	2 2 2
24.00	0.8	1 1 1

=====

This entry pairs a crystal structure of ScGaPt with its simulated powder diffraction line list. Radiation: Cu Kα, 1.54184 Å. Structure: a crystal structure in the Materials Project, relaxed with GGA-PBE.

Structure:
```
data_ScGaPt
_symmetry_space_group_name_H-M 'P n m a'
_symmetry_Int_Tables_number 62
_symmetry_space_group_name_Hall '-P 2ac 2n'
_cell_length_a 6.5074
_cell_length_b 4.3467
_cell_length_c 7.5319
_cell_angle_alpha 90.00
_cell_angle_beta 90.00
_cell_angle_gamma 90.00
loop_
_atom_site_label
_atom_site_type_symbol
_atom_site_fract_x
_atom_site_fract_y
_atom_site_fract_z
Sc1 Sc 0.0230 0.2500 0.1872
Ga1 Ga 0.1606 0.2500 0.5632
Pt1 Pt 0.2378 0.7500 0.3883
```

Most intense lines, 5 to 70 degrees two-theta, by intensity:
2theta	I_rel	hkl
27.38	100.0	2 0 0
41.54	71.1	0 2 0
36.50	62.4	2 1 1
50.49	50.0	2 2 0
48.41	42.6	3 0 2
23.63	37.1	0 1 1
65.65	22.3	3 2 2
43.91	17.6	1 1 3
34.40	14.6	1 1 2
56.47	12.1	2 0 4